The following is a calculated PXRD pattern of Mg3Al2Cu4. It was derived from the GGA-PBE geometry in the Materials Project, using Cu Kα, 1.54184 Å.

Main lines, sorted by position (10 to 80 degrees two-theta):
d 4.152, 21.40°, I = 47
d 4.088, 21.74°, I = 73
d 2.172, 41.58°, I = 65
d 2.165, 41.73°, I = 87
d 2.156, 41.91°, I = 21
d 2.146, 42.10°, I = 21
d 2.075, 43.62°, I = 100
d 2.044, 44.32°, I = 31
d 1.793, 50.93°, I = 24
d 1.374, 68.26°, I = 18
d 1.273, 74.54°, I = 28
d 1.257, 75.66°, I = 18

Cell and atoms:
```
Mg3Al2Cu4
1.0
4.407 -2.548 0.000
4.407 2.548 0.000
-0.075 0.000 12.263
Mg Al Cu
6 4 8
Cartesian
-0.018 0.000 4.574
2.936 0.000 0.515
2.911 0.000 3.531
5.829 0.000 8.731
5.804 0.000 11.748
8.758 0.000 7.689
0.000 0.000 0.000
2.827 0.000 8.232
4.370 0.000 6.131
5.913 0.000 4.031
2.166 1.274 6.131
1.398 0.000 10.238
3.614 1.275 10.230
5.126 1.275 2.033
2.166 -1.274 6.131
3.614 -1.275 10.230
5.126 -1.275 2.033
7.342 0.000 2.024
```